The following is a simulated powder XRD pattern of Sc4Ti. It was derived from a GGA-PBE-relaxed structure, using Cu Kα (λ = 1.5418 Å).

Top 8 peaks for 2θ = 5–70°, low angle first:
h k l	d/Å	intensity
1 1 1	2.594	95
1 5 0	2.538	100
2 0 0	2.431	45
0 4 1	2.397	32
0 6 1	1.945	22
2 4 1	1.707	20
2 6 1	1.519	18
3 5 0	1.423	14

Structural model:
Cell lengths 4.8629, 14.8785, 3.1340 Å; angles 90.00, 90.00, 90.00 degrees
Space group Cmmm (No. 65)
Symmetry-distinct sites (fractional):
Sc: 0.0000 0.1026 0.0000 (multiplicity 4)
Sc: 0.0000 0.3058 0.5000 (multiplicity 4)
Ti: 0.0000 0.5000 0.5000 (multiplicity 2)


The following is a simulated powder XRD pattern of CaTl2CuF6. It was derived from a GGA-PBE-relaxed structure, using Cu Kα (λ = 1.5418 Å).

Top 8 peaks for 2θ = 5–70°, low angle first:
h k l	d/Å	intensity
0 0 1	5.823	91
1 0 1	3.962	75
1 1 0	3.122	100
1 1 1	2.751	75
0 1 2	2.564	53
0 2 1	2.452	51
2 0 2	1.981	35
0 1 4	1.407	34

Structural model:
Cell lengths 6.2436, 6.2436, 5.8234 Å; angles 90.00, 90.00, 120.00 degrees
Space group P-3m1 (No. 164)
Symmetry-distinct sites (fractional):
Ca: 0.0000 0.0000 0.0000 (multiplicity 1)
Tl: 0.3333 0.6667 0.5991 (multiplicity 2)
Cu: 0.0000 0.0000 0.5000 (multiplicity 1)
F: 0.1490 0.2979 0.2804 (multiplicity 6)


The following is a simulated powder XRD pattern of Ba3P14. It was derived from a GGA-PBE-relaxed structure, using Cu Kα (λ = 1.5418 Å).

Top 8 peaks for 2θ = 5–70°, low angle first:
h k l	d/Å	intensity
1 1 0	5.123	55
1 2 -1	4.661	63
0 3 1	4.062	42
1 1 -3	3.873	40
0 1 3	3.336	38
2 1 -3	3.043	33
1 3 1	2.993	100
1 4 -2	2.840	57

Structural model:
Cell lengths 6.5630, 13.2440, 12.2160 Å; angles 90.00, 122.16, 90.00 degrees
Space group P2_1/c (No. 14)
Symmetry-distinct sites (fractional):
Ba: 0.0000 0.0000 0.0000 (multiplicity 2)
Ba: 0.1828 0.1528 0.3876 (multiplicity 4)
P: 0.0493 0.1526 0.6518 (multiplicity 4)
P: 0.2596 0.2242 0.1443 (multiplicity 4)
P: 0.2762 0.0126 0.6868 (multiplicity 4)
P: 0.2957 0.0878 0.8570 (multiplicity 4)
P: 0.3751 0.7146 0.7270 (multiplicity 4)
P: 0.3870 0.6823 0.5538 (multiplicity 4)
P: 0.4111 0.5638 0.8138 (multiplicity 4)


The following is a simulated powder XRD pattern of Pr2Pa3N8. It was derived from a GGA-PBE-relaxed structure, using Cu Kα (λ = 1.5418 Å).

Top 8 peaks for 2θ = 5–70°, low angle first:
h k l	d/Å	intensity
2 0 0	5.451	53
1 1 1	3.659	46
3 1 -1	3.310	48
0 2 1	2.975	100
2 0 -2	2.910	40
2 2 -1	2.870	49
4 0 0	2.723	50
2 2 -3	1.714	46

Structural model:
Cell lengths 11.7656, 7.1033, 5.8708 Å; angles 90.00, 112.08, 90.00 degrees
Space group C2/m (No. 12)
Symmetry-distinct sites (fractional):
Pr: 0.2163 0.0000 0.1477 (multiplicity 4)
Pa: 0.0000 0.2376 0.5000 (multiplicity 4)
Pa: 0.0000 0.5000 0.0000 (multiplicity 2)
N: 0.0997 0.5000 0.4130 (multiplicity 4)
N: 0.1070 0.0000 0.4393 (multiplicity 4)
N: 0.1150 0.2873 0.8875 (multiplicity 8)